No. 1
Starting from the GGA-PBE geometry in Alexandria, the X-ray powder pattern of Nd8Co3Br3N was computed for copper Kα.
Neutral-atom scattering factors, no anomalous dispersion.

Principal peaks in the range 10° ≤ 2θ ≤ 80°, by intensity:
2theta	intensity	index
30.3	100	4 0 0
45.9	38	6 2 -2
27.2	27	2 2 0
11.5	26	0 0 1
40.8	22	2 2 2
37.8	20	2 2 -3
58.9	18	6 2 -5
56.0	17	4 4 0
32.5	15	2 2 1
34.9	14	0 0 3
50.9	13	2 2 3
58.4	10	4 0 3

Crystal structure
a b c (Å): 13.7077 7.8968 8.9651
angles (deg): 90.00 120.63 90.00
Space group C2/m (No. 12)
Unique sites:
Nd (0.0175, 0.2374, 0.3160)
Nd (0.2209, 0.0000, 0.6846)
Nd (0.2314, 0.5000, 0.6939)
Co (0.0000, 0.5000, 0.5000)
Co (0.2500, 0.2500, 0.5000)
Br (0.0000, 0.0000, 0.0000)
Br (0.2500, 0.2500, 0.0000)
N (0.0000, 0.0000, 0.5000)

***

No. 2
Starting from the GGA-PBE geometry in Alexandria, the X-ray powder pattern of GdMn3 was computed for copper Kα.
Neutral-atom scattering factors, no anomalous dispersion.

Principal peaks in the range 10° ≤ 2θ ≤ 80°, by intensity:
2theta	intensity	index
40.1	100	2 0 1
25.9	39	1 0 1
39.1	25	0 0 2
34.8	25	2 0 0
62.4	21	2 2 0
76.1	17	2 2 2
71.5	17	2 0 3
53.3	17	2 0 2
30.0	16	1 1 0
76.7	12	4 0 1
50.1	8	1 1 2
68.7	7	3 1 1

Crystal structure
a b c (Å): 5.9577 5.9577 4.6056
angles (deg): 90.00 90.00 120.00
Space group P6_3/mmc (No. 194)
Unique sites:
Gd (0.3333, 0.6667, 0.2500)
Mn (0.1498, 0.2996, 0.7500)

***

No. 3
Starting from the GGA-PBE geometry in Alexandria, the X-ray powder pattern of Zr4Co3Rh was computed for copper Kα.
Neutral-atom scattering factors, no anomalous dispersion.

Principal peaks in the range 10° ≤ 2θ ≤ 80°, by intensity:
2theta	intensity	index
39.5	100	1 1 0
39.6	98	0 1 8
71.7	48	3 0 0
57.2	32	2 0 8
72.0	15	1 0 16
27.7	4	1 0 4
30.2	2	0 1 5
23.9	2	0 1 2
22.8	2	1 0 1
36.3	1	1 0 7
11.9	1	0 0 3
46.7	1	2 0 2

Crystal structure
a b c (Å): 4.5650 4.5650 22.2542
angles (deg): 90.00 90.00 120.00
Space group R-3m (No. 166, hexagonal axes)
Unique sites:
Zr (0.0000, 0.0000, 0.1226)
Zr (0.0000, 0.0000, 0.3727)
Co (0.0000, 0.0000, 0.0000)
Co (0.0000, 0.0000, 0.2502)
Rh (0.0000, 0.0000, 0.5000)

***

No. 4
Starting from the GGA-PBE geometry in Alexandria, the X-ray powder pattern of Pr2Dy2Tm was computed for copper Kα.
Neutral-atom scattering factors, no anomalous dispersion.

Principal peaks in the range 10° ≤ 2θ ≤ 80°, by intensity:
2theta	intensity	index
31.2	100	1 1 -2
34.1	60	1 1 3
30.4	42	0 0 5
60.3	36	3 1 5
50.7	31	3 1 0
29.3	29	2 0 1
52.6	27	1 1 -7
37.9	25	2 0 -4
60.7	15	4 0 -2
62.5	10	4 0 3
76.1	9	4 0 -7
58.3	9	1 1 8

Crystal structure
a b c (Å): 6.2313 3.6013 14.6845
angles (deg): 90.00 90.07 90.00
Space group C2/m (No. 12)
Unique sites:
Pr (0.1684, 0.0000, 0.3937)
Dy (0.1655, 0.0000, 0.8077)
Tm (0.0000, 0.5000, 0.0000)

***

No. 5
Starting from the GGA-PBE geometry in Alexandria, the X-ray powder pattern of KTe was computed for copper Kα.
Neutral-atom scattering factors, no anomalous dispersion.

Principal peaks in the range 10° ≤ 2θ ≤ 80°, by intensity:
2theta	intensity	index
30.3	100	1 1 2
17.1	36	0 1 1
31.6	20	0 2 0
28.0	20	0 0 4
55.4	14	1 3 2
42.7	12	0 2 4
44.3	12	1 2 3
38.8	11	0 1 5
51.0	8	1 1 6
62.9	8	2 2 4
52.9	8	2 0 4
65.0	8	1 2 7

Crystal structure
a b c (Å): 4.1233 5.6700 12.7297
angles (deg): 90.00 90.00 90.00
Space group Imma (No. 74)
Unique sites:
K (0.0000, 0.2500, 0.1072)
Te (0.0000, 0.2500, 0.6493)

***

No. 6
Starting from the GGA-PBE geometry in Alexandria, the X-ray powder pattern of Tb2Pr7 was computed for copper Kα.
Neutral-atom scattering factors, no anomalous dispersion.

Principal peaks in the range 10° ≤ 2θ ≤ 80°, by intensity:
2theta	intensity	index
29.7	100	1 1 1
34.5	51	2 -1 2
58.8	43	4 -2 1
49.5	36	3 0 0
61.7	9	2 2 2
72.7	6	4 -2 4
61.8	3	0 0 6

Crystal structure
a b c (Å): 6.3784 6.3784 9.0052
angles (deg): 90.00 90.00 120.00
Space group P-31m (No. 162)
Unique sites:
Tb (0.3333, 0.6667, 0.0000)
Pr (0.0000, 0.0000, 0.0000)
Pr (0.0000, 0.3339, 0.6699)

***

No. 7
Starting from the GGA-PBE geometry in Alexandria, the X-ray powder pattern of Nd2Dy12Y was computed for copper Kα.
Neutral-atom scattering factors, no anomalous dispersion.

Principal peaks in the range 10° ≤ 2θ ≤ 80°, by intensity:
2theta	intensity	index
32.5	100	1 1 -4
31.9	94	0 2 0
30.2	84	0 1 7
31.2	58	1 1 2
33.4	47	0 1 8
32.3	45	1 0 -6
30.3	44	1 1 1
46.0	33	1 2 -6
36.1	31	1 1 5
61.8	28	2 2 -1
59.7	26	1 1 13
51.4	25	2 0 -1

Crystal structure
a b c (Å): 3.5529 5.6181 24.4858
angles (deg): 90.00 94.14 90.00
Space group P2/m (No. 10)
Unique sites:
Nd (0.1345, 0.0000, 0.2725)
Dy (0.0348, 0.5000, 0.0737)
Dy (0.2235, 0.5000, 0.4451)
Dy (0.2852, 0.0000, 0.5719)
Dy (0.3365, 0.5000, 0.6692)
Dy (0.4018, 0.5000, 0.7997)
Dy (0.4337, 0.0000, 0.8643)
Y (0.5000, 0.0000, 0.0000)

***

No. 8
Starting from the GGA-PBE geometry in Alexandria, the X-ray powder pattern of Pa3Se8 was computed for copper Kα.
Neutral-atom scattering factors, no anomalous dispersion.

Principal peaks in the range 10° ≤ 2θ ≤ 80°, by intensity:
2theta	intensity	index
37.8	100	2 2 0
22.9	63	1 1 1
68.3	36	4 2 2
44.7	34	3 1 1
13.2	20	1 0 0
54.6	17	4 0 0
18.6	17	1 1 0
59.9	14	3 3 1
73.1	11	5 1 1
29.7	10	2 1 0
32.6	9	2 1 1
40.2	6	2 2 1

Crystal structure
a b c (Å): 6.7290 6.7290 6.7290
angles (deg): 90.00 90.00 90.00
Space group Pm-3m (No. 221)
Unique sites:
Pa (0.0000, 0.0000, 0.5000)
Se (0.2470, 0.2470, 0.2470)

***

No. 9
Starting from the GGA-PBE geometry in Alexandria, the X-ray powder pattern of Tb3Sm5Er2 was computed for copper Kα.
Neutral-atom scattering factors, no anomalous dispersion.

Principal peaks in the range 10° ≤ 2θ ≤ 80°, by intensity:
2theta	intensity	index
31.0	100	2 4 0
29.7	98	2 2 -3
33.6	46	4 0 -2
63.7	24	2 4 -6
36.6	23	2 0 2
60.8	23	4 6 -5
32.1	23	0 4 2
49.1	22	0 6 3
68.8	19	2 10 -3
58.4	17	6 4 -2
34.5	16	0 2 3
47.1	16	4 4 0

Crystal structure
a b c (Å): 10.6814 15.0169 9.8704
angles (deg): 90.00 122.68 90.00
Space group C2/c (No. 15)
Unique sites:
Tb (0.0000, 0.2291, 0.2500)
Tb (0.1473, 0.1262, 0.0538)
Sm (0.0000, 0.0209, 0.2500)
Sm (0.0000, 0.2728, 0.7500)
Sm (0.0000, 0.4763, 0.7500)
Sm (0.2398, 0.3747, 0.2328)
Er (0.1569, 0.3747, 0.5540)

***

No. 10
Starting from the GGA-PBE geometry in Alexandria, the X-ray powder pattern of Ce2PuPaAs5 was computed for copper Kα.
Neutral-atom scattering factors, no anomalous dispersion.

Principal peaks in the range 10° ≤ 2θ ≤ 80°, by intensity:
2theta	intensity	index
24.5	100	1 1 0
34.9	96	2 0 0
23.8	71	1 0 2
48.8	49	2 0 4
41.5	40	1 1 4
33.0	36	0 0 4
42.7	32	2 1 2
50.2	27	2 2 0
61.4	25	2 2 4
17.2	22	1 0 0
56.6	21	3 1 0
67.1	20	3 1 4

Crystal structure
a b c (Å): 5.1410 5.1410 10.8671
angles (deg): 90.00 90.00 90.00
Space group P4/mmm (No. 123)
Unique sites:
Ce (0.0000, 0.0000, 0.2140)
Pu (0.5000, 0.5000, 0.5000)
Pa (0.5000, 0.5000, 0.0000)
As (0.0000, 0.0000, 0.5000)
As (0.0000, 0.5000, 0.0000)
As (0.5000, 0.5000, 0.2526)

***

No. 11
Starting from the GGA-PBE geometry in Alexandria, the X-ray powder pattern of NaZnOs was computed for copper Kα.
Neutral-atom scattering factors, no anomalous dispersion.

Principal peaks in the range 10° ≤ 2θ ≤ 80°, by intensity:
2theta	intensity	index
16.5	100	0 2 0
37.3	36	1 3 1
47.0	32	1 2 2
43.7	31	1 0 2
39.5	23	2 0 0
19.4	22	1 0 0
31.5	19	0 3 1
25.6	19	1 2 0
43.0	18	2 2 0
50.8	17	1 5 1
67.3	12	1 7 1
33.3	12	0 4 0

Crystal structure
a b c (Å): 4.5682 10.7716 4.6524
angles (deg): 90.00 90.00 90.00
Space group Amm2 (No. 38)
Unique sites:
Na (0.0000, 0.0000, 0.0000)
Na (0.5000, 0.0000, 0.4261)
Zn (0.0000, 0.2055, 0.5953)
Os (0.5000, 0.2110, 0.8637)

***

No. 12
Starting from the GGA-PBE geometry in Alexandria, the X-ray powder pattern of Na3Li2TiF9 was computed for copper Kα.
Neutral-atom scattering factors, no anomalous dispersion.

Principal peaks in the range 10° ≤ 2θ ≤ 80°, by intensity:
2theta	intensity	index
45.8	100	2 0 2
22.4	81	0 1 1
39.7	71	0 2 1
31.5	42	1 0 2
18.5	37	1 0 0
67.8	28	2 2 0
51.0	19	1 1 3
32.4	19	1 1 0
57.2	18	2 1 2
65.7	17	0 2 4
38.3	12	0 0 3
62.4	12	1 1 4

Crystal structure
a b c (Å): 5.5312 5.5312 7.0573
angles (deg): 90.00 90.00 120.00
Space group P-3m1 (No. 164)
Unique sites:
Na (0.0000, 0.0000, 0.0000)
Na (0.3333, 0.6667, 0.7684)
Li (0.3333, 0.6667, 0.1513)
Ti (0.0000, 0.0000, 0.5000)
F (0.0000, 0.5000, 0.0000)
F (0.1591, 0.3182, 0.3422)

***

No. 13
Starting from the GGA-PBE geometry in Alexandria, the X-ray powder pattern of AcScSi2Ru was computed for copper Kα.
Neutral-atom scattering factors, no anomalous dispersion.

Principal peaks in the range 10° ≤ 2θ ≤ 80°, by intensity:
2theta	intensity	index
33.7	100	1 1 2
22.4	65	1 0 1
31.6	55	1 0 3
42.6	33	2 0 0
54.0	25	2 1 3
45.1	25	1 0 5
72.3	22	3 1 2
31.3	21	0 0 4
53.8	18	2 0 4
48.6	18	2 1 1
57.3	18	1 1 6
63.8	18	2 1 5

Crystal structure
a b c (Å): 4.2429 4.2429 11.4252
angles (deg): 90.00 90.00 90.00
Space group I-4m2 (No. 119)
Unique sites:
Ac (0.0000, 0.0000, 0.0000)
Sc (0.0000, 0.5000, 0.2500)
Si (0.0000, 0.0000, 0.3879)
Ru (0.0000, 0.5000, 0.7500)